Theoretical X-ray diffraction stick pattern of RbNaGa2Au2 for Cu Kα, 1.54184 Å, from a structure optimized by DFT (PBE).

Unit cell a=4.6755 b=4.6755 c=8.2487 alpha=90.00 beta=90.00 gamma=120.00
Fractional coordinates of all 6 atoms:
Rb (0.0000, 0.0000, 0.0000)
Na (0.0000, 0.0000, 0.5000)
Ga (0.3333, 0.6667, 0.3307)
Ga (0.6667, 0.3333, 0.6693)
Au (0.3333, 0.6667, 0.6731)
Au (0.6667, 0.3333, 0.3269)

Most intense lines, 2θ = 10–90°, in order of rising 2θ:
| 2theta | intensity |
| --- | --- |
| 10.73 | 54 |
| 21.95 | 22 |
| 24.49 | 100 |
| 30.95 | 77 |
| 32.57 | 41 |
| 38.51 | 92 |
| 50.20 | 20 |
| 51.30 | 68 |
| 79.03 | 20 |
| 81.16 | 20 |


Theoretical X-ray diffraction stick pattern of Na3Cd8Au4 for Cu Kα, 1.54184 Å, from a structure optimized by DFT (PBE).

Unit cell a=9.7785 b=9.7785 c=9.7785 alpha=60.00 beta=60.00 gamma=60.00
Fractional coordinates of all 30 atoms:
Na (0.2144, 0.2144, 0.7856)
Na (0.2144, 0.7856, 0.2144)
Na (0.2144, 0.7856, 0.7856)
Na (0.7856, 0.2144, 0.2144)
Na (0.7856, 0.2144, 0.7856)
Na (0.7856, 0.7856, 0.2144)
Cd (0.1401, 0.6200, 0.6200)
Cd (0.1607, 0.1607, 0.1607)
Cd (0.1607, 0.1607, 0.5179)
Cd (0.1607, 0.5179, 0.1607)
Cd (0.3800, 0.3800, 0.3800)
Cd (0.3800, 0.3800, 0.8599)
Cd (0.3800, 0.8599, 0.3800)
Cd (0.4821, 0.8393, 0.8393)
Cd (0.5179, 0.1607, 0.1607)
Cd (0.6200, 0.1401, 0.6200)
Cd (0.6200, 0.6200, 0.1401)
Cd (0.6200, 0.6200, 0.6200)
Cd (0.8393, 0.4821, 0.8393)
Cd (0.8393, 0.8393, 0.4821)
Cd (0.8393, 0.8393, 0.8393)
Cd (0.8599, 0.3800, 0.3800)
Au (0.0000, 0.0000, 0.0000)
Au (0.0000, 0.0000, 0.5000)
Au (0.0000, 0.5000, 0.0000)
Au (0.0000, 0.5000, 0.5000)
Au (0.5000, 0.0000, 0.0000)
Au (0.5000, 0.0000, 0.5000)
Au (0.5000, 0.5000, 0.0000)
Au (0.5000, 0.5000, 0.5000)

Most intense lines, 2θ = 10–90°, in order of rising 2θ:
| 2theta | intensity |
| --- | --- |
| 22.27 | 50 |
| 33.68 | 14 |
| 36.76 | 100 |
| 38.51 | 9 |
| 43.40 | 40 |
| 52.97 | 11 |
| 58.15 | 8 |
| 66.21 | 24 |
| 70.81 | 13 |
| 82.54 | 16 |